The following is a computed powder diffractogram of Pm2YHo7. It was derived from a structure optimized by DFT (PBE), using Cu Kα X-rays.
Peak positions follow from Bragg's law for the DFT cell and can differ from measured ones.

The 12 most intense peaks (10° ≤ 2θ ≤ 80°), sorted by position:
- 2θ 17.27, 5.135 Å, I 12
- 2θ 27.36, 3.259 Å, I 25
- 2θ 31.62, 2.830 Å, I 100
- 2θ 32.45, 2.759 Å, I 24
- 2θ 32.60, 2.747 Å, I 96
- 2θ 32.73, 2.736 Å, I 14
- 2θ 35.86, 2.504 Å, I 22
- 2θ 46.60, 1.949 Å, I 9
- 2θ 46.68, 1.946 Å, I 9
- 2θ 46.86, 1.939 Å, I 11
- 2θ 57.52, 1.602 Å, I 18
- 2θ 58.15, 1.586 Å, I 10

Atomic structure:
```
Pm2YHo7
1.0
5.4989 0.0000 0.0000
-0.0128 8.4372 0.0000
-2.7426 -4.2056 7.1743
Pm Y Ho
2 1 7
Direct
0.2294 0.1948 0.4589
0.7706 0.8052 0.5411
0.0000 0.0000 0.0000
0.1319 0.6748 0.2635
0.3521 0.6525 0.7057
0.3881 0.0592 0.7755
0.5000 0.5000 0.0000
0.6119 0.9408 0.2245
0.6479 0.3475 0.2943
0.8681 0.3252 0.7365
```

=====

The following is a computed powder diffractogram of Pm3Y5Ho2. It was derived from a structure optimized by DFT (PBE), using Cu Kα X-rays.
Peak positions follow from Bragg's law for the DFT cell and can differ from measured ones.

The 12 most intense peaks (10° ≤ 2θ ≤ 80°), sorted by position:
- 2θ 25.14, 3.542 Å, I 40
- 2θ 28.51, 3.130 Å, I 32
- 2θ 29.99, 2.979 Å, I 68
- 2θ 30.78, 2.905 Å, I 100
- 2θ 31.25, 2.862 Å, I 29
- 2θ 32.43, 2.761 Å, I 43
- 2θ 34.00, 2.636 Å, I 15
- 2θ 34.19, 2.623 Å, I 43
- 2θ 36.91, 2.436 Å, I 19
- 2θ 43.51, 2.080 Å, I 59
- 2θ 53.65, 1.708 Å, I 28
- 2θ 62.69, 1.482 Å, I 16

Atomic structure:
```
Pm3Y5Ho2
1.0
-5.5184 8.9377 3.4165
5.5184 -8.9377 3.4165
5.5184 8.9377 -3.4165
Pm Y Ho
6 10 4
Direct
0.1687 0.7073 0.8761
0.2500 0.2500 0.0000
0.3313 0.2073 0.5386
0.6687 0.7927 0.4614
0.7500 0.7500 0.0000
0.8313 0.2927 0.1239
0.0689 0.2500 0.8189
0.1696 0.3934 0.5630
0.2500 0.7500 0.5000
0.3304 0.8934 0.2238
0.4311 0.2500 0.1811
0.5689 0.7500 0.8189
0.6696 0.1066 0.7762
0.7500 0.2500 0.5000
0.8304 0.6066 0.4370
0.9311 0.7500 0.1811
0.0236 0.2355 0.2590
0.4764 0.7355 0.2119
0.5236 0.2645 0.7881
0.9764 0.7645 0.7410
```